Computed powder X-ray diffraction pattern
Compound: La2PmPb3
Radiation: Cu Kα X-rays
Structure: a structure optimized by DFT (PBE)

Most intense lines, 10 to 80 degrees two-theta, by intensity:
two_theta  I_rel
31.2  100
53.1  23
34.7  19
34.8  19
59.9  16
60.1  16
38.9  14
49.9  14
65.0  12
65.6  12

Cell and atoms:
```
data_La2PmPb3
_chemical_formula_sum 'La8 Pm4 Pb12'
_space_group_name_H-M_alt 'I m m a'
_space_group_IT_number 74
_space_group_name_Hall '-I 2b 2'
_cell_length_a 5.158
_cell_length_b 9.270
_cell_length_c 15.532
_cell_angle_alpha 90.00
_cell_angle_beta 90.00
_cell_angle_gamma 90.00
loop_
_atom_site_label
_atom_site_fract_x
_atom_site_fract_y
_atom_site_fract_z
La1 0.000 0.250 0.000
La2 0.000 0.250 0.334
Pm1 0.000 0.250 0.668
Pb1 0.000 0.000 0.500
Pb2 0.000 0.004 0.832
```